Theoretical PXRD pattern
Compound: K3Cr2AgO8
Radiation: a wavelength of 1.5418 Å
Structure: the GGA+U geometry in Alexandria
Neutral-atom scattering factors, no anomalous dispersion.

Peak list (12 most intense, 5 to 70 degrees two-theta, by angle)
| (hkl) | 2theta | Rel. int. |
| --- | --- | --- |
| 0 0 1 | 11.5 | 21 |
| 1 0 1 | 20.8 | 46 |
| 0 1 2 | 29.0 | 85 |
| 1 1 0 | 30.0 | 100 |
| 0 1 3 | 39.3 | 15 |
| 2 0 2 | 42.3 | 50 |
| 2 1 1 | 48.2 | 8 |
| 1 2 2 | 52.7 | 25 |
| 3 0 0 | 53.3 | 17 |
| 1 1 4 | 57.1 | 11 |
| 0 2 4 | 60.1 | 9 |
| 2 2 0 | 62.4 | 17 |

Cell and atoms:
```
data_K3Cr2AgO8
_chemical_formula_sum 'K3 Cr2 Ag1 O8'
_cell_length_a 5.9490
_cell_length_b 5.9490
_cell_length_c 7.6746
_cell_angle_alpha 90.00
_cell_angle_beta 90.00
_cell_angle_gamma 120.00
_symmetry_space_group_name_H-M 'P -3 m 1'
_symmetry_Int_Tables_number 164
_symmetry_space_group_name_Hall '-P 3 2"'
loop_
_atom_site_label
_atom_site_type_symbol
_atom_site_fract_x
_atom_site_fract_y
_atom_site_fract_z
K1 K 0.0000 0.0000 0.0000
K2 K 0.3333 0.6667 0.6662
Cr1 Cr 0.3333 0.6667 0.2227
Ag1 Ag 0.0000 0.0000 0.5000
O1 O 0.1804 0.3609 0.2988
O2 O 0.3333 0.6667 0.0083
```